(1)
This entry pairs a crystal structure of Cs4K16Au3 with its computed powder X-ray diffraction pattern. Radiation: Cu Kα (weighted mean of Kα1 and Kα2). Structure: DFT lattice parameters and positions (GGA-PBE).

The 12 most intense peaks (2θ from 15° to 90°), by angle:
| 2theta | I (rel.) | (hkl) |
| --- | --- | --- |
| 19.77 | 42 | 2 0 0 |
| 20.05 | 100 | 1 1 3 |
| 24.51 | 92 | 2 0 3 |
| 27.66 | 51 | 2 0 4 |
| 28.10 | 96 | 2 2 0 |
| 34.76 | 52 | 3 1 3 |
| 35.27 | 29 | 2 0 6 |
| 36.77 | 31 | 1 1 7 |
| 40.16 | 36 | 4 0 0 |
| 46.91 | 29 | 3 1 7 |
| 47.61 | 28 | 4 2 3 |
| 57.59 | 37 | 2 2 10 |

Crystal structure
Unit cell a=8.982 b=8.982 c=18.534 alpha=90.00 beta=90.00 gamma=90.00
Space group P4/mmm (No. 123)
Unique sites:
Cs (0.000, 0.500, 0.202) (multiplicity 4)
K (0.000, 0.000, 0.183) (multiplicity 2)
K (0.248, 0.248, 0.399) (multiplicity 8)
K (0.258, 0.258, 0.000) (multiplicity 4)
K (0.500, 0.500, 0.201) (multiplicity 2)
Au (0.000, 0.000, 0.000) (multiplicity 1)
Au (0.000, 0.500, 0.500) (multiplicity 2)



(2)
This entry pairs a crystal structure of Cs5K2Au5 with its computed powder X-ray diffraction pattern. Radiation: Cu Kα (weighted mean of Kα1 and Kα2). Structure: DFT lattice parameters and positions (GGA-PBE).

The 12 most intense peaks (2θ from 15° to 90°), by angle:
| 2theta | I (rel.) | (hkl) |
| --- | --- | --- |
| 22.30 | 9 | 2 0 2 |
| 24.89 | 18 | 2 0 -4 |
| 26.28 | 36 | 2 0 3 |
| 29.31 | 100 | 0 2 0 |
| 39.78 | 12 | 2 2 3 |
| 40.62 | 11 | 3 1 4 |
| 41.89 | 8 | 2 2 -5 |
| 50.18 | 12 | 5 1 2 |
| 51.98 | 19 | 3 3 -1 |
| 55.66 | 9 | 1 1 9 |
| 60.83 | 10 | 0 4 0 |
| 84.06 | 7 | 6 4 -2 |

Crystal structure
Unit cell a=10.545 b=6.094 c=16.603 alpha=90.00 beta=102.16 gamma=90.00
Space group C2/m (No. 12)
Unique sites:
Cs (0.000, 0.000, 0.000) (multiplicity 2)
Cs (0.188, 0.000, 0.564) (multiplicity 4)
Cs (0.217, 0.500, 0.152) (multiplicity 4)
K (0.070, 0.500, 0.709) (multiplicity 4)
Au (0.000, 0.500, 0.500) (multiplicity 2)
Au (0.103, 0.000, 0.309) (multiplicity 4)
Au (0.140, 0.500, 0.921) (multiplicity 4)



(3)
This entry pairs a crystal structure of CsK8Au4 with its computed powder X-ray diffraction pattern. Radiation: Cu Kα (weighted mean of Kα1 and Kα2). Structure: DFT lattice parameters and positions (GGA-PBE).

The 12 most intense peaks (2θ from 15° to 90°), by angle:
| 2theta | I (rel.) | (hkl) |
| --- | --- | --- |
| 20.87 | 28 | 3 1 -1 |
| 21.08 | 55 | 2 2 -1 |
| 22.39 | 33 | 2 2 0 |
| 24.37 | 27 | 2 2 -2 |
| 25.90 | 42 | 4 0 -2 |
| 26.32 | 31 | 1 1 2 |
| 27.66 | 54 | 2 2 1 |
| 29.49 | 35 | 4 0 -3 |
| 30.90 | 100 | 2 2 -3 |
| 31.10 | 29 | 4 2 -1 |
| 33.62 | 34 | 0 4 0 |
| 39.23 | 24 | 2 2 -4 |

Crystal structure
Unit cell a=13.979 b=10.664 c=10.343 alpha=90.00 beta=121.55 gamma=90.00
Space group C2/m (No. 12)
Unique sites:
Cs (0.000, 0.000, 0.000) (multiplicity 2)
K (0.127, 0.000, 0.720) (multiplicity 4)
K (0.127, 0.306, 0.308) (multiplicity 8)
K (0.150, 0.500, 0.702) (multiplicity 4)
Au (0.000, 0.247, 0.500) (multiplicity 4)
Au (0.158, 0.000, 0.418) (multiplicity 4)



(4)
This entry pairs a crystal structure of Cs3K6Au with its computed powder X-ray diffraction pattern. Radiation: Cu Kα (weighted mean of Kα1 and Kα2). Structure: DFT lattice parameters and positions (GGA-PBE).

The 12 most intense peaks (2θ from 15° to 90°), by angle:
| 2theta | I (rel.) | (hkl) |
| --- | --- | --- |
| 15.66 | 24 | 2 0 2 |
| 16.16 | 45 | 1 0 4 |
| 19.77 | 46 | 1 2 2 |
| 23.58 | 100 | 3 0 3 |
| 25.09 | 11 | 1 1 6 |
| 30.46 | 41 | 0 3 6 |
| 33.94 | 22 | 3 2 4 |
| 36.51 | 33 | 3 3 0 |
| 39.53 | 18 | 3 0 9 |
| 43.94 | 18 | 0 6 3 |
| 58.41 | 15 | 6 3 3 |
| 59.08 | 13 | 3 3 12 |

Crystal structure
Unit cell a=14.7669 b=14.7669 c=24.2833 alpha=90.00 beta=90.00 gamma=120.00
Space group R-3m (No. 166, hexagonal axes)
Unique sites:
Cs (0.0997, 0.5498, 0.4062) (multiplicity 18)
K (0.1039, 0.2078, 0.0852) (multiplicity 18)
K (0.1089, 0.2178, 0.4270) (multiplicity 18)
Au (0.0000, 0.0000, 0.0000) (multiplicity 3)
Au (0.0000, 0.0000, 0.5000) (multiplicity 3)



Copy entry 3 word for word.
This entry pairs a crystal structure of CsK8Au4 with its computed powder X-ray diffraction pattern. Radiation: Cu Kα (weighted mean of Kα1 and Kα2). Structure: DFT lattice parameters and positions (GGA-PBE).

The 12 most intense peaks (2θ from 15° to 90°), by angle:
| 2theta | I (rel.) | (hkl) |
| --- | --- | --- |
| 20.87 | 28 | 3 1 -1 |
| 21.08 | 55 | 2 2 -1 |
| 22.39 | 33 | 2 2 0 |
| 24.37 | 27 | 2 2 -2 |
| 25.90 | 42 | 4 0 -2 |
| 26.32 | 31 | 1 1 2 |
| 27.66 | 54 | 2 2 1 |
| 29.49 | 35 | 4 0 -3 |
| 30.90 | 100 | 2 2 -3 |
| 31.10 | 29 | 4 2 -1 |
| 33.62 | 34 | 0 4 0 |
| 39.23 | 24 | 2 2 -4 |

Crystal structure
Unit cell a=13.979 b=10.664 c=10.343 alpha=90.00 beta=121.55 gamma=90.00
Space group C2/m (No. 12)
Unique sites:
Cs (0.000, 0.000, 0.000) (multiplicity 2)
K (0.127, 0.000, 0.720) (multiplicity 4)
K (0.127, 0.306, 0.308) (multiplicity 8)
K (0.150, 0.500, 0.702) (multiplicity 4)
Au (0.000, 0.247, 0.500) (multiplicity 4)
Au (0.158, 0.000, 0.418) (multiplicity 4)